Diffraction record for YCrIn2. The powder X-ray diffraction pattern is computed, not measured: it uses the PBE geometry in Alexandria and a wavelength of 1.5418 Å.
Neutral-atom scattering factors, no anomalous dispersion.

Principal peaks in the range 5 to 70 degrees two-theta, in order of falling intensity:
- 34.6 deg, 2.592 Å, I 100
- 38.5 deg, 2.338 Å, I 37
- 67.1 deg, 1.394 Å, I 27
- 59.3 deg, 1.557 Å, I 20
- 43.3 deg, 2.087 Å, I 13
- 55.6 deg, 1.653 Å, I 12
- 27.0 deg, 3.307 Å, I 5
- 21.3 deg, 4.175 Å, I 4
- 21.8 deg, 4.080 Å, I 3
- 44.4 deg, 2.040 Å, I 3
- 51.8 deg, 1.765 Å, I 2
- 60.2 deg, 1.537 Å, I 1

Unit cell a=4.677 b=4.677 c=8.350 alpha=90.00 beta=90.00 gamma=90.00
Space group I4/mmm (No. 139)
Inequivalent atoms, fractional coordinates:
1 Y 0.000 0.000 0.000 (multiplicity 2)
2 Cr 0.000 0.000 0.500 (multiplicity 2)
3 In 0.000 0.500 0.250 (multiplicity 4)